The following is a simulated powder diffractogram of Li4GaPb2. It was derived from a crystal structure in Alexandria, relaxed with GGA-PBE, using a wavelength of 1.5418 Å.
Kinematic intensities with the Lorentz-polarization factor, no thermal factor.

Peak list (12 most intense, 10° ≤ 2θ ≤ 90°, by intensity)
| two_theta | d/Å | I_rel |
| --- | --- | --- |
| 27.30 | 3.267 | 100 |
| 21.85 | 4.068 | 75 |
| 30.99 | 2.885 | 58 |
| 23.97 | 3.712 | 55 |
| 23.59 | 3.772 | 54 |
| 39.77 | 2.266 | 47 |
| 38.46 | 2.340 | 45 |
| 38.24 | 2.353 | 40 |
| 18.30 | 4.849 | 38 |
| 42.47 | 2.128 | 35 |
| 22.44 | 3.963 | 34 |
| 48.59 | 1.874 | 32 |

Cell and atoms:
```
Li4GaPb2
1.0
5.1228 0.0000 0.0000
0.0000 5.7709 0.0000
-2.3012 0.0000 9.6977
Li Ga Pb
8 2 4
Cartesian
-0.5257 1.4427 3.7838
-0.6134 1.4427 9.3499
1.4921 2.8980 2.1163
1.4921 5.7584 2.1163
1.3294 0.0125 7.5814
1.3294 2.8730 7.5814
3.4349 4.3282 0.3478
3.3473 4.3282 5.9139
-0.9222 1.4427 6.7837
3.7437 4.3282 2.9140
-1.3955 4.3282 8.7596
0.7718 4.3282 4.7957
2.0498 1.4427 4.9020
4.2171 1.4427 0.9381
```